1.
Diffraction record for ZnAsO3. The X-ray powder pattern is simulated, not measured: it uses a GGA-PBE-relaxed structure and copper Kα.
Lines closer than 0.1° are merged.

Cell and atoms:
Lattice parameters (Å, degrees): 5.1649 5.1649 17.7559 90.00 90.00 120.00
Space group R-3 (No. 148, hexagonal axes)
Unique sites:
Zn (0.0000, 0.0000, 0.1649) (multiplicity 6)
As (0.0000, 0.0000, 0.3990) (multiplicity 6)
O (0.0027, 0.3198, 0.4343) (multiplicity 18)

Main lines, by angle (2θ = 15–90°):
- 2θ 28.33, I 100.0, hkl 1 0 4
- 2θ 32.18, I 85.2, hkl 0 1 5
- 2θ 34.74, I 85.9, hkl 1 1 0
- 2θ 38.02, I 26.4, hkl 1 1 3
- 2θ 45.41, I 27.3, hkl 0 2 4
- 2θ 48.08, I 25.0, hkl 2 0 5
- 2θ 58.41, I 25.1, hkl 3 -1 4
- 2θ 58.91, I 55.4, hkl 2 -1 9
- 2θ 60.67, I 25.4, hkl 3 -2 5
- 2θ 62.27, I 34.3, hkl 3 0 0


2.
Diffraction record for TmSc6Sn2. The X-ray powder pattern is simulated, not measured: it uses a GGA-PBE-relaxed structure and copper Kα.
Lines closer than 0.1° are merged.

Cell and atoms:
Lattice parameters (Å, degrees): 7.227 7.227 11.148 90.00 90.00 90.00
Space group P4_2/mnm (No. 136)
Unique sites:
Tm (0.000, 0.000, 0.000) (multiplicity 2)
Sc (0.156, 0.156, 0.500) (multiplicity 4)
Sc (0.248, 0.248, 0.142) (multiplicity 8)
Sn (0.000, 0.000, 0.268) (multiplicity 4)

Main lines, by angle (2θ = 15–90°):
- 2θ 17.35, I 100.0, hkl 1 1 0
- 2θ 28.76, I 15.2, hkl 2 1 1
- 2θ 29.73, I 14.5, hkl 1 1 3
- 2θ 35.12, I 33.2, hkl 2 2 0
- 2θ 36.73, I 27.6, hkl 1 1 4
- 2θ 36.86, I 23.7, hkl 2 1 3
- 2θ 39.43, I 17.6, hkl 3 1 0
- 2θ 40.89, I 31.6, hkl 2 0 4
- 2θ 51.76, I 19.8, hkl 3 1 4
- 2θ 66.93, I 17.7, hkl 4 2 4


3.
Diffraction record for TaV3Se8. The X-ray powder pattern is simulated, not measured: it uses a GGA-PBE-relaxed structure and copper Kα.
Lines closer than 0.1° are merged.

Cell and atoms:
Lattice parameters (Å, degrees): 11.822 6.825 7.992 90.00 120.00 90.00
Space group C2/m (No. 12)
Unique sites:
Ta (0.000, 0.000, 0.000) (multiplicity 2)
V (0.000, 0.500, 0.000) (multiplicity 2)
V (0.250, 0.250, 0.000) (multiplicity 4)
Se (0.007, 0.256, 0.768) (multiplicity 8)
Se (0.242, 0.500, 0.224) (multiplicity 4)
Se (0.249, 0.000, 0.232) (multiplicity 4)

Main lines, by angle (2θ = 15–90°):
- 2θ 17.26, I 14.2, hkl 2 0 0
- 2θ 30.56, I 21.6, hkl 4 0 -1
- 2θ 31.51, I 13.5, hkl 2 2 0
- 2θ 34.87, I 100.0, hkl 2 2 -2
- 2θ 35.06, I 49.7, hkl 4 0 0
- 2θ 43.12, I 16.3, hkl 2 2 -3
- 2θ 46.38, I 21.6, hkl 4 0 -4
- 2θ 46.67, I 41.1, hkl 2 2 2
- 2θ 53.72, I 43.2, hkl 0 4 0
- 2θ 65.78, I 15.1, hkl 4 4 0


4.
Diffraction record for CaSmIn. The X-ray powder pattern is simulated, not measured: it uses a GGA-PBE-relaxed structure and copper Kα.
Lines closer than 0.1° are merged.

Cell and atoms:
Lattice parameters (Å, degrees): 5.3369 5.3369 7.8094 90.00 90.00 120.00
Space group P-3m1 (No. 164)
Unique sites:
Ca (0.3333, 0.6667, 0.3755) (multiplicity 2)
Sm (0.3333, 0.6667, 0.8970) (multiplicity 2)
In (0.0000, 0.0000, 0.2073) (multiplicity 2)

Main lines, by angle (2θ = 15–90°):
- 2θ 22.35, I 14.2, hkl 0 1 1
- 2θ 29.96, I 100.0, hkl 0 1 2
- 2θ 33.58, I 86.5, hkl 1 1 0
- 2θ 35.55, I 22.5, hkl 1 1 1
- 2θ 39.74, I 16.1, hkl 0 1 3
- 2θ 45.62, I 30.9, hkl 2 0 2
- 2θ 50.76, I 13.5, hkl 1 0 4
- 2θ 57.82, I 30.0, hkl 1 2 2
- 2θ 60.05, I 15.6, hkl 3 0 0
- 2θ 78.54, I 12.1, hkl 3 1 2


5.
Diffraction record for Rb3Y3SbS8. The X-ray powder pattern is simulated, not measured: it uses a GGA-PBE-relaxed structure and copper Kα.
Lines closer than 0.1° are merged.

Cell and atoms:
Lattice parameters (Å, degrees): 8.0397 8.0397 23.5045 90.00 90.00 120.00
Space group R-3m (No. 166, hexagonal axes)
Unique sites:
Rb (0.0000, 0.5000, 0.0000) (multiplicity 9)
Y (0.0000, 0.5000, 0.5000) (multiplicity 9)
Sb (0.0000, 0.0000, 0.5000) (multiplicity 3)
S (0.0000, 0.0000, 0.2302) (multiplicity 6)
S (0.0107, 0.5054, 0.2287) (multiplicity 18)

Main lines, by angle (2θ = 15–90°):
- 2θ 22.70, I 17.7, hkl 0 0 6
- 2θ 26.71, I 25.7, hkl 2 0 2
- 2θ 29.83, I 100.0, hkl 0 2 4
- 2θ 40.16, I 34.0, hkl 2 0 8
- 2θ 45.11, I 32.5, hkl 2 2 0
- 2θ 46.63, I 16.3, hkl 0 2 10
- 2θ 51.08, I 13.2, hkl 2 2 6
- 2θ 55.02, I 16.3, hkl 4 0 4
- 2θ 66.67, I 10.4, hkl 2 2 12
- 2θ 73.80, I 13.4, hkl 2 4 4


6.
Diffraction record for LaPr3Nd4. The X-ray powder pattern is simulated, not measured: it uses a GGA-PBE-relaxed structure and copper Kα.
Lines closer than 0.1° are merged.

Cell and atoms:
Lattice parameters (Å, degrees): 12.029 7.464 6.458 90.00 90.00 90.00
Space group Pmn2_1 (No. 31)
Unique sites:
La (0.000, 0.125, 0.000) (multiplicity 2)
Pr (0.000, 0.873, 0.500) (multiplicity 2)
Pr (0.250, 0.126, 0.667) (multiplicity 4)
Nd (0.000, 0.376, 0.499) (multiplicity 2)
Nd (0.000, 0.623, 0.000) (multiplicity 2)
Nd (0.249, 0.624, 0.668) (multiplicity 4)

Main lines, by angle (2θ = 15–90°):
- 2θ 27.61, I 23.3, hkl 0 2 1
- 2θ 29.71, I 25.8, hkl 4 0 0
- 2θ 31.43, I 100.0, hkl 2 0 2
- 2θ 41.00, I 16.1, hkl 4 2 1
- 2θ 48.83, I 19.5, hkl 0 4 0
- 2θ 53.82, I 21.9, hkl 6 0 2
- 2θ 58.20, I 23.0, hkl 4 4 0
- 2θ 59.23, I 16.4, hkl 2 4 2
- 2θ 80.22, I 13.6, hkl 2 2 5
- 2θ 82.38, I 8.5, hkl 8 4 0


7.
Diffraction record for SrMgSiO4. The X-ray powder pattern is simulated, not measured: it uses a GGA-PBE-relaxed structure and copper Kα.
Lines closer than 0.1° are merged.

Cell and atoms:
Lattice parameters (Å, degrees): 8.028 8.028 8.028 90.00 90.00 90.00
Space group F-43m (No. 216)
Unique sites:
Sr (0.000, 0.000, 0.000) (multiplicity 4)
Mg (0.250, 0.250, 0.750) (multiplicity 4)
Si (0.000, 0.000, 0.500) (multiplicity 4)
O (0.117, 0.117, 0.617) (multiplicity 16)

Main lines, by angle (2θ = 15–90°):
- 2θ 19.15, I 34.8, hkl 1 1 1
- 2θ 22.15, I 58.5, hkl 2 0 0
- 2θ 31.52, I 100.0, hkl 2 2 0
- 2θ 37.14, I 40.8, hkl 3 1 1
- 2θ 38.86, I 22.4, hkl 2 2 2
- 2θ 50.87, I 17.8, hkl 4 2 0
- 2θ 56.13, I 36.6, hkl 4 2 2
- 2θ 59.87, I 13.9, hkl 5 1 1
- 2θ 65.81, I 20.5, hkl 4 4 0
- 2θ 74.80, I 15.3, hkl 6 2 0


8.
Diffraction record for La2Y2Ho7. The X-ray powder pattern is simulated, not measured: it uses a GGA-PBE-relaxed structure and copper Kα.
Lines closer than 0.1° are merged.

Cell and atoms:
Lattice parameters (Å, degrees): 3.629 8.997 11.911 109.64 98.76 90.01
Space group P-1 (No. 2)
Unique sites:
La (0.142, 0.271, 0.286) (multiplicity 2)
Y (0.081, 0.760, 0.162) (multiplicity 2)
Ho (0.300, 0.353, 0.599) (multiplicity 2)
Ho (0.305, 0.977, 0.610) (multiplicity 2)
Ho (0.450, 0.587, 0.899) (multiplicity 2)
Ho (0.500, 0.000, 0.000) (multiplicity 1)

Main lines, by angle (2θ = 15–90°):
- 2θ 30.33, I 34.1, hkl 0 1 -4
- 2θ 30.65, I 37.3, hkl 0 2 2
- 2θ 31.34, I 32.0, hkl 1 1 -3
- 2θ 31.73, I 16.9, hkl 0 3 0
- 2θ 31.86, I 100.0, hkl 1 -2 0
- 2θ 32.07, I 25.7, hkl 0 2 -4
- 2θ 32.76, I 22.0, hkl 0 3 -3
- 2θ 40.14, I 15.5, hkl 1 -3 2
- 2θ 50.28, I 16.3, hkl 2 0 -1
- 2θ 60.01, I 14.1, hkl -2 2 3